Starting from a DFT-relaxed cell (GGA+U, Alexandria), the X-ray powder pattern of Rb4V5CdClO15 was calculated for Cu Kα (λ = 1.5418 Å).
Kinematic intensities with the Lorentz-polarization factor, no thermal factor.

Structural model:
abc: 9.272 9.272 5.818
angles: 90.00 90.00 90.00
Space group P4 (No. 75)
One atom of each set of equivalent atoms:
Rb 0.163 0.677 0.000 [4 per cell]
V 0.142 0.382 0.524 [4 per cell]
V 0.500 0.500 0.551 [1 per cell]
Cd 0.000 0.000 0.549 [1 per cell]
Cl 0.000 0.000 0.109 [1 per cell]
O 0.000 0.500 0.634 [2 per cell]
O 0.113 0.212 0.628 [4 per cell]
O 0.142 0.383 0.238 [4 per cell]
O 0.310 0.446 0.638 [4 per cell]
O 0.500 0.500 0.272 [1 per cell]

Largest 10 diffraction maxima, by angle, 2θ from 5° to 70°:
| two_theta | d/Å | Rel. int. | index |
| --- | --- | --- | --- |
| 24.55 | 3.626 | 32 | 2 0 1 |
| 26.40 | 3.377 | 100 | 1 2 1 |
| 27.20 | 3.278 | 11 | 2 2 0 |
| 30.49 | 2.932 | 39 | 3 1 0 |
| 30.74 | 2.909 | 22 | 0 0 2 |
| 37.78 | 2.381 | 9 | 2 1 2 |
| 40.10 | 2.249 | 10 | 1 4 0 |
| 43.66 | 2.073 | 10 | 2 4 0 |
| 43.84 | 2.065 | 20 | 3 1 2 |
| 52.06 | 1.757 | 13 | 1 2 3 |